For MnNiIrO6, the GGA+U geometry in Alexandria gives the theoretical powder XRD pattern in this record (Cu Kα (λ = 1.5418 Å)).

Structure:
Cell lengths 5.017, 5.017, 8.642 Å; angles 90.00, 90.00, 120.00 degrees
Sites, in units of the cell vectors:
Mn (0.000, 0.000, 0.000)
Mn (0.000, 0.000, 0.500)
Ni (0.333, 0.667, 0.250)
Ni (0.667, 0.333, 0.750)
Ir (0.333, 0.667, 0.750)
Ir (0.667, 0.333, 0.250)
O (0.010, 0.347, 0.626)
O (0.010, 0.663, 0.874)
O (0.337, 0.347, 0.874)
O (0.337, 0.990, 0.626)
O (0.347, 0.010, 0.126)
O (0.347, 0.337, 0.374)
O (0.653, 0.663, 0.626)
O (0.653, 0.990, 0.874)
O (0.663, 0.010, 0.374)
O (0.663, 0.653, 0.126)
O (0.990, 0.337, 0.126)
O (0.990, 0.653, 0.374)

Largest 10 diffraction maxima, by angle, 2θ = 5–70°:
two_theta	intensity
20.44	18
20.55	45
22.91	62
29.15	100
35.79	58
41.63	54
46.80	27
56.19	56
60.29	24
64.32	22